Record 1
For KBiSCl2O4, a cell relaxed with GGA-PBE gives the simulated powder diffractogram in this record (Cu Kα (weighted mean of Kα1 and Kα2)).

Most intense lines, 15° ≤ 2θ ≤ 90°, low angle first:
- d 5.400, rel. 100, (0 1 2)
- d 4.659, rel. 54, (1 1 1)
- d 4.136, rel. 55, (1 1 2)
- d 3.890, rel. 51, (0 0 4)
- d 3.647, rel. 43, (0 2 1)
- d 3.217, rel. 50, (2 0 0)
- d 3.040, rel. 30, (0 2 3)
- d 2.490, rel. 36, (1 2 4)
- d 2.479, rel. 32, (2 0 4)
- d 1.914, rel. 35, (0 2 7)

Crystal structure
Lattice parameters (Å, degrees): 6.433 7.502 15.559 90.00 90.00 90.00
Space group P2_12_12_1 (No. 19)
One atom of each set of equivalent atoms:
K 0.029 0.202 0.344
Bi 0.014 0.364 0.883
S 0.006 0.184 0.112
Cl 0.070 0.165 0.552
Cl 0.102 0.506 0.734
O 0.119 0.828 0.349
O 0.131 0.247 0.037
O 0.142 0.538 0.415
O 0.157 0.106 0.176

---

Record 2
For LaBi2ClO4, a cell relaxed with GGA-PBE gives the simulated powder diffractogram in this record (Cu Kα (weighted mean of Kα1 and Kα2)).

Most intense lines, 15° ≤ 2θ ≤ 90°, low angle first:
- d 4.667, rel. 13, (0 0 2)
- d 3.989, rel. 17, (1 0 0)
- d 3.668, rel. 15, (1 0 1)
- d 3.032, rel. 100, (1 0 2)
- d 2.821, rel. 35, (1 1 0)
- d 2.090, rel. 16, (1 1 3)
- d 1.994, rel. 21, (2 0 0)
- d 1.798, rel. 19, (1 1 4)
- d 1.691, rel. 11, (1 0 5)
- d 1.666, rel. 35, (2 1 2)

Crystal structure
Lattice parameters (Å, degrees): 3.989 3.989 9.333 90.00 90.00 90.00
Space group P4/mmm (No. 123)
One atom of each set of equivalent atoms:
La 0.000 0.000 0.000
Bi 0.500 0.500 0.278
Cl 0.000 0.000 0.500
O 0.000 0.500 0.162

---

Record 3
For Na2LiBiCl6, a cell relaxed with GGA-PBE gives the simulated powder diffractogram in this record (Cu Kα (weighted mean of Kα1 and Kα2)).

Most intense lines, 15° ≤ 2θ ≤ 90°, low angle first:
- d 5.222, rel. 100, (2 0 0)
- d 3.693, rel. 53, (2 2 0)
- d 3.149, rel. 86, (3 1 1)
- d 2.611, rel. 71, (4 0 0)
- d 2.396, rel. 48, (3 3 1)
- d 2.335, rel. 50, (4 2 0)
- d 2.132, rel. 26, (4 2 2)
- d 2.010, rel. 30, (3 3 3)
- d 1.846, rel. 47, (4 4 0)
- d 1.765, rel. 30, (5 3 1)

Crystal structure
Lattice parameters (Å, degrees): 10.444 10.444 10.444 90.00 90.00 90.00
Space group Fm-3m (No. 225)
One atom of each set of equivalent atoms:
Na 0.250 0.250 0.250
Li 0.000 0.000 0.000
Bi 0.000 0.000 0.500
Cl 0.000 0.000 0.242

---

Record 4
For LiBi3Cl2O4, a cell relaxed with GGA-PBE gives the simulated powder diffractogram in this record (Cu Kα (weighted mean of Kα1 and Kα2)).

Most intense lines, 15° ≤ 2θ ≤ 90°, low angle first:
- d 5.410, rel. 20, (0 2 1)
- d 4.579, rel. 21, (1 1 1)
- d 3.712, rel. 34, (1 1 2)
- d 2.836, rel. 100, (1 3 2)
- d 2.755, rel. 20, (2 0 0)
- d 2.744, rel. 20, (0 0 4)
- d 1.944, rel. 21, (2 0 4)
- d 1.655, rel. 20, (2 6 0)
- d 1.606, rel. 19, (3 3 2)
- d 1.602, rel. 18, (1 3 6)

Crystal structure
Lattice parameters (Å, degrees): 5.511 12.435 10.978 90.00 90.00 90.00
Space group Cmcm (No. 63)
One atom of each set of equivalent atoms:
Li 0.000 0.212 0.250
Bi 0.000 0.146 0.750
Bi 0.000 0.343 0.506
Cl 0.000 0.000 0.000
Cl 0.000 0.486 0.250
O 0.246 0.242 0.624

---

Record 5
For LiBi3Cl2O4, a cell relaxed with GGA-PBE gives the simulated powder diffractogram in this record (Cu Kα (weighted mean of Kα1 and Kα2)).

Most intense lines, 15° ≤ 2θ ≤ 90°, low angle first:
- d 5.035, rel. 17, (0 1 1)
- d 4.112, rel. 12, (1 0 2)
- d 3.718, rel. 42, (1 1 1)
- d 2.830, rel. 100, (1 1 3)
- d 2.757, rel. 40, (2 0 0)
- d 2.057, rel. 26, (0 0 6)
- d 1.950, rel. 21, (2 2 0)
- d 1.649, rel. 26, (2 0 6)
- d 1.606, rel. 46, (3 1 3)
- d 1.240, rel. 16, (3 3 3)

Crystal structure
Lattice parameters (Å, degrees): 5.514 5.514 12.346 90.00 90.00 90.00
Space group Amm2 (No. 38)
One atom of each set of equivalent atoms:
Li 0.000 0.000 0.000
Bi 0.000 0.000 0.356
Bi 0.500 0.000 0.546
Bi 0.500 0.000 0.859
Cl 0.000 0.000 0.715
Cl 0.500 0.000 0.206
O 0.252 0.247 0.452

---

Record 6
For Rb2LiBiCl6, a cell relaxed with GGA-PBE gives the simulated powder diffractogram in this record (Cu Kα (weighted mean of Kα1 and Kα2)).

Most intense lines, 15° ≤ 2θ ≤ 90°, low angle first:
- d 3.758, rel. 100, (2 2 0)
- d 3.205, rel. 58, (3 1 1)
- d 2.657, rel. 77, (4 0 0)
- d 2.438, rel. 31, (3 3 1)
- d 2.169, rel. 48, (4 2 2)
- d 1.879, rel. 52, (4 4 0)
- d 1.796, rel. 21, (5 3 1)
- d 1.680, rel. 22, (6 2 0)
- d 1.420, rel. 26, (6 4 2)
- d 1.188, rel. 23, (8 4 0)

Crystal structure
Lattice parameters (Å, degrees): 10.628 10.628 10.628 90.00 90.00 90.00
Space group Fm-3m (No. 225)
One atom of each set of equivalent atoms:
Rb 0.250 0.250 0.250
Li 0.000 0.000 0.000
Bi 0.000 0.000 0.500
Cl 0.000 0.000 0.245

---

Record 7
For Bi2N3Cl9, a cell relaxed with GGA-PBE gives the simulated powder diffractogram in this record (Cu Kα (weighted mean of Kα1 and Kα2)).

Most intense lines, 15° ≤ 2θ ≤ 90°, low angle first:
- d 5.121, rel. 53, (0 0 4)
- d 4.475, rel. 100, (1 1 0)
- d 3.621, rel. 89, (1 0 5)
- d 3.370, rel. 58, (1 1 4)
- d 3.090, rel. 62, (2 0 4)
- d 2.900, rel. 54, (2 1 1)
- d 2.815, rel. 66, (2 0 5)
- d 2.714, rel. 68, (1 1 6)
- d 2.383, rel. 92, (2 1 5)
- d 2.237, rel. 47, (2 2 0)

Crystal structure
Lattice parameters (Å, degrees): 8.9499 8.9499 20.4794 90.00 90.00 120.00
Space group P6_3/mmc (No. 194)
One atom of each set of equivalent atoms:
Bi 0.3333 0.6667 0.1584
N 0.0000 0.0000 0.2500
N 0.3333 0.6667 0.5885
Cl 0.0741 0.5371 0.2500
Cl 0.1946 0.3891 0.1010

---

Record 8
For Bi2N3Cl9, a cell relaxed with GGA-PBE gives the simulated powder diffractogram in this record (Cu Kα (weighted mean of Kα1 and Kα2)).

Most intense lines, 15° ≤ 2θ ≤ 90°, low angle first:
- d 5.672, rel. 39, (3 0 1)
- d 5.305, rel. 100, (2 1 1)
- d 5.226, rel. 52, (2 0 2)
- d 3.822, rel. 39, (4 1 1)
- d 3.630, rel. 25, (0 1 3)
- d 2.852, rel. 20, (3 2 2)
- d 2.653, rel. 38, (4 2 2)
- d 2.622, rel. 21, (3 1 4)
- d 2.416, rel. 28, (6 2 0)
- d 2.394, rel. 42, (6 1 3)

Crystal structure
Lattice parameters (Å, degrees): 19.099 7.423 12.486 90.00 90.00 90.00
Space group Pnma (No. 62)
One atom of each set of equivalent atoms:
Bi 0.006 0.250 0.230
Bi 0.171 0.750 0.431
N 0.096 0.250 0.605
N 0.096 0.750 0.054
N 0.240 0.750 0.725
Cl 0.061 0.750 0.578
Cl 0.069 0.000 0.835
Cl 0.086 0.250 0.073
Cl 0.090 0.003 0.325
Cl 0.231 0.501 0.528
Cl 0.248 0.250 0.775

---

Record 9
For NaBi3Cl2O4, a cell relaxed with GGA-PBE gives the simulated powder diffractogram in this record (Cu Kα (weighted mean of Kα1 and Kα2)).

Most intense lines, 15° ≤ 2θ ≤ 90°, low angle first:
- d 5.079, rel. 13, (0 1 1)
- d 3.753, rel. 40, (1 1 1)
- d 2.847, rel. 100, (1 1 3)
- d 2.785, rel. 40, (2 0 0)
- d 2.068, rel. 17, (2 0 4)
- d 1.969, rel. 21, (2 2 0)
- d 1.744, rel. 11, (3 1 1)
- d 1.656, rel. 22, (2 0 6)
- d 1.620, rel. 38, (3 1 3)
- d 1.246, rel. 11, (2 4 0)

Crystal structure
Lattice parameters (Å, degrees): 5.568 5.572 12.356 90.00 90.00 90.00
Space group Amm2 (No. 38)
One atom of each set of equivalent atoms:
Na 0.000 0.000 0.000
Bi 0.000 0.000 0.693
Bi 0.500 0.000 0.192
Bi 0.500 0.000 0.507
Cl 0.000 0.000 0.347
Cl 0.500 0.000 0.852
O 0.257 0.243 0.602

---

Record 10
For NbBi4ClO8, a cell relaxed with GGA-PBE gives the simulated powder diffractogram in this record (Cu Kα (weighted mean of Kα1 and Kα2)).

Most intense lines, 15° ≤ 2θ ≤ 90°, low angle first:
- d 3.816, rel. 18, (1 1 2)
- d 3.479, rel. 14, (1 1 4)
- d 3.073, rel. 100, (1 1 6)
- d 2.813, rel. 18, (0 2 0)
- d 2.778, rel. 20, (2 0 0)
- d 2.687, rel. 12, (1 1 8)
- d 1.976, rel. 19, (2 2 0)
- d 1.670, rel. 15, (1 3 6)
- d 1.662, rel. 16, (1 1 16)
- d 1.655, rel. 17, (3 1 6)

Crystal structure
Lattice parameters (Å, degrees): 5.555 5.626 29.312 90.00 90.00 90.00
Space group Pbcn (No. 60)
One atom of each set of equivalent atoms:
Nb 0.000 0.013 0.250
Bi 0.012 0.006 0.569
Bi 0.024 0.448 0.343
Cl 0.000 0.500 0.000
O 0.111 0.085 0.314
O 0.243 0.246 0.107
O 0.246 0.308 0.233
O 0.247 0.245 0.895